Calculated X-ray powder pattern of CaPbF4 for Cu Kα (weighted mean of Kα1 and Kα2), from a GGA-PBE-relaxed structure.

Top 8 peaks for 2θ from 10° to 90°, by angle:
2θ/deg  intensity
17.19  52
26.82  100
28.07  21
30.92  16
35.59  23
44.30  22
44.61  43
52.54  32

Structure:
abc: 7.0205 7.0205 7.0205
angles: 131.35 131.35 71.26
Sites, in units of the cell vectors:
1 Ca 0.3750 0.6250 0.7500
2 Ca 0.6250 0.3750 0.2500
3 Pb 0.1250 0.8750 0.2500
4 Pb 0.8750 0.1250 0.7500
5 F 0.0000 0.2698 0.2698
6 F 0.0000 0.7302 0.7302
7 F 0.2698 0.0000 0.7698
8 F 0.2698 0.5000 0.2698
9 F 0.5000 0.2698 0.7698
10 F 0.5000 0.7302 0.2302
11 F 0.7302 0.0000 0.2302
12 F 0.7302 0.5000 0.7302